(1)
Theoretical XRD peak list of Dy2Ho2ErSc for Cu Kα, 1.54184 Å, from DFT lattice parameters and positions (GGA-PBE).
Intensities are scaled so that the largest is 100.

Most intense lines, 10° ≤ 2θ ≤ 90°, low angle first:
| index | 2θ (°) | d [Å] | I_rel |
| --- | --- | --- | --- |
| 2 0 0 | 27.49 | 3.245 | 24 |
| 2 2 0 | 29.42 | 3.036 | 38 |
| 0 6 0 | 31.25 | 2.863 | 100 |
| 1 6 0 | 34.23 | 2.620 | 20 |
| 2 4 0 | 34.64 | 2.589 | 29 |
| 2 1 1 | 39.27 | 2.294 | 29 |
| 2 3 1 | 42.10 | 2.146 | 33 |
| 4 3 1 | 66.21 | 1.412 | 23 |

Lattice parameters (Å, degrees): 6.4900 17.1868 3.3031 90.00 90.00 90.00
Space group Pnnm (No. 58)
Inequivalent atoms, fractional coordinates:
Dy1 0.2481 0.1791 0.0000 x4
Ho1 0.2458 0.3532 0.5000 x4
Er1 0.0000 0.5000 0.0000 x2
Sc1 0.0000 0.0000 0.0000 x2

=====

(2)
Theoretical XRD peak list of BaCa14La for Cu Kα, 1.54184 Å, from DFT lattice parameters and positions (GGA-PBE).
Intensities are scaled so that the largest is 100.

Most intense lines, 10° ≤ 2θ ≤ 90°, low angle first:
| index | 2θ (°) | d [Å] | I_rel |
| --- | --- | --- | --- |
| 1 2 0 | 17.80 | 4.982 | 12 |
| 2 2 2 | 27.78 | 3.211 | 100 |
| 0 4 0 | 32.06 | 2.792 | 34 |
| 4 0 0 | 32.45 | 2.759 | 16 |
| 0 4 4 | 45.97 | 1.974 | 12 |
| 4 4 0 | 46.26 | 1.962 | 23 |
| 2 6 2 | 54.57 | 1.682 | 27 |
| 6 2 2 | 55.08 | 1.667 | 13 |

Lattice parameters (Å, degrees): 11.0360 11.1662 11.1686 90.00 90.00 90.00
Space group Amm2 (No. 38)
Inequivalent atoms, fractional coordinates:
Ba1 0.0000 0.0000 0.0000 x2
Ca1 0.0000 0.2497 0.2505 x4
Ca2 0.2547 0.0000 0.2558 x4
Ca3 0.2551 0.0000 0.7453 x4
Ca4 0.2550 0.2448 0.5006 x8
Ca5 0.5000 0.0000 0.0006 x2
Ca6 0.5000 0.0000 0.5006 x2
Ca7 0.5000 0.2498 0.2506 x4
La1 0.0000 0.0000 0.5010 x2

=====

(3)
Theoretical XRD peak list of Tm4Ge2C for Cu Kα, 1.54184 Å, from DFT lattice parameters and positions (GGA-PBE).
Intensities are scaled so that the largest is 100.

Most intense lines, 10° ≤ 2θ ≤ 90°, low angle first:
| index | 2θ (°) | d [Å] | I_rel |
| --- | --- | --- | --- |
| 2 0 1 | 28.72 | 3.109 | 35 |
| 1 1 1 | 30.52 | 2.929 | 37 |
| 4 0 -2 | 32.11 | 2.787 | 31 |
| 1 1 -2 | 32.25 | 2.776 | 100 |
| 3 1 -1 | 33.09 | 2.707 | 80 |
| 4 0 -3 | 36.84 | 2.440 | 61 |
| 0 2 0 | 46.35 | 1.959 | 34 |
| 3 1 2 | 55.41 | 1.658 | 31 |

Lattice parameters (Å, degrees): 11.3037 3.9184 8.0940 90.00 124.04 90.00
Space group C2/m (No. 12)
Inequivalent atoms, fractional coordinates:
Tm1 0.0801 0.0000 0.3451 x4
Tm2 0.1598 0.5000 0.0728 x4
Ge1 0.1259 0.5000 0.6597 x4
C1 0.0000 0.0000 0.0000 x2

=====

(4)
Theoretical XRD peak list of Pu2PdAu7 for Cu Kα, 1.54184 Å, from DFT lattice parameters and positions (GGA-PBE).
Intensities are scaled so that the largest is 100.

Most intense lines, 10° ≤ 2θ ≤ 90°, low angle first:
| index | 2θ (°) | d [Å] | I_rel |
| --- | --- | --- | --- |
| 2 2 0 | 24.71 | 3.603 | 18 |
| 2 2 2 | 30.39 | 2.942 | 92 |
| 4 0 0 | 35.23 | 2.547 | 100 |
| 4 4 0 | 50.68 | 1.801 | 72 |
| 6 2 2 | 60.24 | 1.536 | 41 |
| 4 4 4 | 63.22 | 1.471 | 25 |
| 6 6 2 | 82.53 | 1.169 | 18 |
| 8 4 0 | 85.17 | 1.139 | 34 |

Lattice parameters (Å, degrees): 10.1897 10.1897 10.1897 90.00 90.00 90.00
Space group Fm-3m (No. 225)
Inequivalent atoms, fractional coordinates:
Pu1 0.2500 0.2500 0.2500 x8
Pd1 0.0000 0.0000 0.0000 x4
Au1 0.0000 0.0000 0.2473 x24
Au2 0.0000 0.0000 0.5000 x4

=====

Q: What is the formula in the third record?
A: Tm4Ge2C